# Pr3Y3Ge4
Theoretical powder XRD pattern, Cu Ka. Input: DFT lattice parameters and positions (PBE).

Structural model:
```
data_Pr3Y3Ge4
_chemical_formula_sum 'Pr6 Y6 Ge8'
_symmetry_space_group_name_H-M 'A m m 2'
_symmetry_Int_Tables_number 38
_symmetry_space_group_name_Hall 'A 2 -2'
_cell_length_a 4.1593
_cell_length_b 11.4208
_cell_length_c 11.0046
_cell_angle_alpha 90.00
_cell_angle_beta 90.00
_cell_angle_gamma 90.00
loop_
_atom_site_label
_atom_site_fract_x
_atom_site_fract_y
_atom_site_fract_z
Pr1 0.0000 0.0000 0.0000
Pr2 0.5000 0.2481 0.9221
Y1 0.0000 0.0000 0.3428
Y2 0.0000 0.1693 0.6691
Ge1 0.5000 0.0000 0.5466
Ge2 0.5000 0.0000 0.7848
Ge3 0.5000 0.1306 0.1760
```

Principal peaks in the range 15 to 90 degrees two-theta, most intense first:
31.18°, 2.869 Å, I = 100; 32.92°, 2.721 Å, I = 91; 33.50°, 2.675 Å, I = 85; 35.42°, 2.534 Å, I = 55; 36.24°, 2.478 Å, I = 51; 43.52°, 2.080 Å, I = 38; 57.31°, 1.608 Å, I = 28; 57.88°, 1.593 Å, I = 26; 26.51°, 3.362 Å, I = 23; 54.66°, 1.679 Å, I = 20

---

# Pr6Zn5Ge
Theoretical powder XRD pattern, Cu Ka. Input: DFT lattice parameters and positions (PBE).

Structural model:
```
data_Pr6Zn5Ge
_chemical_formula_sum 'Pr12 Zn10 Ge2'
_symmetry_space_group_name_H-M 'C m m m'
_symmetry_Int_Tables_number 65
_symmetry_space_group_name_Hall '-C 2 2'
_cell_length_a 5.2303
_cell_length_b 15.7878
_cell_length_c 7.4379
_cell_angle_alpha 90.00
_cell_angle_beta 90.00
_cell_angle_gamma 90.00
loop_
_atom_site_label
_atom_site_fract_x
_atom_site_fract_y
_atom_site_fract_z
Pr1 0.0000 0.0000 0.2440
Pr2 0.0000 0.3357 0.2498
Zn1 0.0000 0.1674 0.5000
Zn2 0.0000 0.1755 0.0000
Zn3 0.0000 0.5000 0.5000
Ge1 0.0000 0.5000 0.0000
```

Principal peaks in the range 15 to 90 degrees two-theta, most intense first:
34.13°, 2.627 Å, I = 100; 61.03°, 1.518 Å, I = 21; 34.29°, 2.615 Å, I = 20; 23.97°, 3.713 Å, I = 16; 61.31°, 1.512 Å, I = 14; 49.12°, 1.855 Å, I = 14; 81.96°, 1.176 Å, I = 9; 71.90°, 1.313 Å, I = 9; 61.16°, 1.515 Å, I = 7; 48.99°, 1.859 Å, I = 7

---

# Pr2ZnGe2
Theoretical powder XRD pattern, Cu Ka. Input: DFT lattice parameters and positions (PBE).

Structural model:
```
data_Pr2ZnGe2
_chemical_formula_sum 'Pr4 Zn2 Ge4'
_symmetry_space_group_name_H-M 'I m m m'
_symmetry_Int_Tables_number 71
_symmetry_space_group_name_Hall '-I 2 2'
_cell_length_a 4.3000
_cell_length_b 5.9615
_cell_length_c 9.2620
_cell_angle_alpha 90.00
_cell_angle_beta 90.00
_cell_angle_gamma 90.00
loop_
_atom_site_label
_atom_site_fract_x
_atom_site_fract_y
_atom_site_fract_z
Pr1 0.0000 0.0000 0.2063
Zn1 0.0000 0.5000 0.0000
Ge1 0.0000 0.2760 0.5000
```

Principal peaks in the range 15 to 90 degrees two-theta, most intense first:
32.13°, 2.786 Å, I = 100; 35.82°, 2.507 Å, I = 59; 37.99°, 2.368 Å, I = 47; 62.90°, 1.478 Å, I = 30; 25.54°, 3.487 Å, I = 28; 32.66°, 2.742 Å, I = 27; 42.02°, 2.150 Å, I = 27; 56.38°, 1.632 Å, I = 17; 38.89°, 2.316 Å, I = 16; 54.22°, 1.692 Å, I = 13

---

# Pr3Zn3Ge2
Theoretical powder XRD pattern, Cu Ka. Input: DFT lattice parameters and positions (PBE).

Structural model:
```
data_Pr3Zn3Ge2
_chemical_formula_sum 'Pr12 Zn12 Ge8'
_symmetry_space_group_name_H-M 'C m c m'
_symmetry_Int_Tables_number 63
_symmetry_space_group_name_Hall '-C 2c 2'
_cell_length_a 4.2327
_cell_length_b 11.4266
_cell_length_c 15.8602
_cell_angle_alpha 90.00
_cell_angle_beta 90.00
_cell_angle_gamma 90.00
loop_
_atom_site_label
_atom_site_fract_x
_atom_site_fract_y
_atom_site_fract_z
Pr1 0.0000 0.0690 0.2500
Pr2 0.0000 0.3552 0.0909
Zn1 0.0000 0.0740 0.0539
Zn2 0.0000 0.2041 0.7500
Ge1 0.0000 0.3461 0.6167
```

Principal peaks in the range 15 to 90 degrees two-theta, most intense first:
31.89°, 2.806 Å, I = 100; 42.77°, 2.114 Å, I = 76; 31.60°, 2.831 Å, I = 51; 33.91°, 2.643 Å, I = 44; 32.11°, 2.787 Å, I = 41; 39.09°, 2.304 Å, I = 35; 28.11°, 3.174 Å, I = 27; 71.48°, 1.320 Å, I = 26; 60.82°, 1.523 Å, I = 26; 42.59°, 2.123 Å, I = 24

---

# Pr2Zn3Ge
Theoretical powder XRD pattern, Cu Ka. Input: DFT lattice parameters and positions (PBE).

Structural model:
```
data_Pr2Zn3Ge
_chemical_formula_sum 'Pr2 Zn3 Ge1'
_symmetry_space_group_name_H-M 'P m m 2'
_symmetry_Int_Tables_number 25
_symmetry_space_group_name_Hall 'P 2 -2'
_cell_length_a 4.1128
_cell_length_b 4.3378
_cell_length_c 7.6616
_cell_angle_alpha 90.00
_cell_angle_beta 90.00
_cell_angle_gamma 90.00
loop_
_atom_site_label
_atom_site_fract_x
_atom_site_fract_y
_atom_site_fract_z
Pr1 0.0000 0.0000 0.0000
Pr2 0.0000 0.5000 0.4737
Zn1 0.5000 0.0000 0.6578
Zn2 0.5000 0.5000 0.1503
Zn3 0.5000 0.5000 0.8174
Ge1 0.5000 0.0000 0.3252
```

Principal peaks in the range 15 to 90 degrees two-theta, most intense first:
32.19°, 2.781 Å, I = 100; 31.93°, 2.803 Å, I = 50; 41.01°, 2.201 Å, I = 45; 61.74°, 1.503 Å, I = 26; 53.41°, 1.715 Å, I = 23; 41.64°, 2.169 Å, I = 22; 44.03°, 2.056 Å, I = 19; 62.21°, 1.492 Å, I = 13; 52.72°, 1.736 Å, I = 11; 23.57°, 3.775 Å, I = 11

---

# Pr2Zn3Ge
Theoretical powder XRD pattern, Cu Ka. Input: DFT lattice parameters and positions (PBE).

Structural model:
```
data_Pr2Zn3Ge
_chemical_formula_sum 'Pr16 Zn24 Ge8'
_symmetry_space_group_name_H-M 'F m m m'
_symmetry_Int_Tables_number 69
_symmetry_space_group_name_Hall '-F 2 2'
_cell_length_a 7.7548
_cell_length_b 8.9485
_cell_length_c 15.4530
_cell_angle_alpha 90.00
_cell_angle_beta 90.00
_cell_angle_gamma 90.00
loop_
_atom_site_label
_atom_site_fract_x
_atom_site_fract_y
_atom_site_fract_z
Pr1 0.2453 0.0000 0.0000
Pr2 0.2500 0.2500 0.2500
Zn1 0.0000 0.0000 0.1664
Zn2 0.0000 0.2489 0.4174
Ge1 0.0000 0.0000 0.3339
```

Principal peaks in the range 15 to 90 degrees two-theta, most intense first:
32.70°, 2.739 Å, I = 100; 40.38°, 2.234 Å, I = 50; 63.54°, 1.464 Å, I = 26; 52.85°, 1.732 Å, I = 20; 68.63°, 1.367 Å, I = 16; 22.99°, 3.869 Å, I = 13; 46.87°, 1.938 Å, I = 12; 68.49°, 1.370 Å, I = 9; 52.96°, 1.729 Å, I = 8; 77.93°, 1.226 Å, I = 8

---

# Ge2Pt
Theoretical powder XRD pattern, Cu Ka. Input: DFT lattice parameters and positions (PBE).

Structural model:
```
data_Ge2Pt
_chemical_formula_sum 'Ge8 Pt4'
_symmetry_space_group_name_H-M 'P 1 21/c 1'
_symmetry_Int_Tables_number 14
_symmetry_space_group_name_Hall '-P 2ybc'
_cell_length_a 6.3599
_cell_length_b 6.2007
_cell_length_c 6.3777
_cell_angle_alpha 90.00
_cell_angle_beta 115.93
_cell_angle_gamma 90.00
loop_
_atom_site_label
_atom_site_fract_x
_atom_site_fract_y
_atom_site_fract_z
Ge1 0.1461 0.1257 0.3717
Ge2 0.3432 0.6252 0.6952
Pt1 0.2701 0.0027 0.7947
```

Principal peaks in the range 15 to 90 degrees two-theta, most intense first:
21.83°, 4.072 Å, I = 100; 31.24°, 2.864 Å, I = 98; 43.00°, 2.103 Å, I = 48; 45.49°, 1.994 Å, I = 47; 28.80°, 3.100 Å, I = 42; 51.86°, 1.763 Å, I = 36; 47.08°, 1.930 Å, I = 32; 33.33°, 2.689 Å, I = 29; 45.36°, 1.999 Å, I = 27; 34.50°, 2.600 Å, I = 26

---

# GePt4
Theoretical powder XRD pattern, Cu Ka. Input: DFT lattice parameters and positions (PBE).

Structural model:
```
data_GePt4
_chemical_formula_sum 'Ge8 Pt32'
_symmetry_space_group_name_H-M 'F d d 2'
_symmetry_Int_Tables_number 43
_symmetry_space_group_name_Hall 'F 2 -2d'
_cell_length_a 9.6474
_cell_length_b 12.9230
_cell_length_c 5.1114
_cell_angle_alpha 90.00
_cell_angle_beta 90.00
_cell_angle_gamma 90.00
loop_
_atom_site_label
_atom_site_fract_x
_atom_site_fract_y
_atom_site_fract_z
Ge1 0.0000 0.0000 0.0000
Pt1 0.0514 0.3956 0.0715
Pt2 0.0588 0.3057 0.5642
```

Principal peaks in the range 15 to 90 degrees two-theta, most intense first:
39.91°, 2.259 Å, I = 100; 40.20°, 2.243 Å, I = 77; 42.40°, 2.132 Å, I = 33; 39.15°, 2.301 Å, I = 32; 55.17°, 1.665 Å, I = 17; 66.43°, 1.407 Å, I = 16; 48.58°, 1.874 Å, I = 15; 70.74°, 1.332 Å, I = 14; 60.61°, 1.528 Å, I = 12; 73.35°, 1.291 Å, I = 11

---

# Ge6Pt5
Theoretical powder XRD pattern, Cu Ka. Input: DFT lattice parameters and positions (PBE).

Structural model:
```
data_Ge6Pt5
_chemical_formula_sum 'Ge12 Pt10'
_symmetry_space_group_name_H-M 'C 1 2/m 1'
_symmetry_Int_Tables_number 12
_symmetry_space_group_name_Hall '-C 2y'
_cell_length_a 5.7229
_cell_length_b 11.0621
_cell_length_c 6.8290
_cell_angle_alpha 90.00
_cell_angle_beta 105.76
_cell_angle_gamma 90.00
loop_
_atom_site_label
_atom_site_fract_x
_atom_site_fract_y
_atom_site_fract_z
Ge1 0.2012 0.0000 0.2070
Ge2 0.2030 0.1899 0.7063
Pt1 0.0000 0.0000 0.5000
Pt2 0.0000 0.1805 0.0000
Pt3 0.0000 0.3721 0.5000
```

Principal peaks in the range 15 to 90 degrees two-theta, most intense first:
34.10°, 2.629 Å, I = 100; 36.43°, 2.466 Å, I = 58; 47.21°, 1.925 Å, I = 41; 54.13°, 1.694 Å, I = 26; 44.11°, 2.053 Å, I = 26; 20.99°, 4.232 Å, I = 24; 19.71°, 4.505 Å, I = 20; 27.14°, 3.286 Å, I = 20; 42.17°, 2.143 Å, I = 19; 49.94°, 1.826 Å, I = 17

---

# PuGe3Pt2
Theoretical powder XRD pattern, Cu Ka. Input: DFT lattice parameters and positions (PBE).

Structural model:
```
data_PuGe3Pt2
_chemical_formula_sum 'Pu4 Ge12 Pt8'
_symmetry_space_group_name_H-M 'I m m m'
_symmetry_Int_Tables_number 71
_symmetry_space_group_name_Hall '-I 2 2'
_cell_length_a 4.4104
_cell_length_b 7.3759
_cell_length_c 13.8467
_cell_angle_alpha 90.00
_cell_angle_beta 90.00
_cell_angle_gamma 90.00
loop_
_atom_site_label
_atom_site_fract_x
_atom_site_fract_y
_atom_site_fract_z
Pu1 0.0000 0.0000 0.1350
Ge1 0.0000 0.2054 0.3278
Ge2 0.0000 0.3398 0.0000
Pt1 0.0000 0.3153 0.5000
Pt2 0.0000 0.5000 0.1950
```

Principal peaks in the range 15 to 90 degrees two-theta, most intense first:
32.30°, 2.772 Å, I = 100; 35.13°, 2.555 Å, I = 88; 37.28°, 2.412 Å, I = 72; 40.92°, 2.205 Å, I = 66; 44.15°, 2.051 Å, I = 57; 27.98°, 3.189 Å, I = 52; 69.79°, 1.348 Å, I = 40; 57.80°, 1.595 Å, I = 39; 27.40°, 3.255 Å, I = 38; 39.03°, 2.308 Å, I = 37

---

# Pu3Ge2Pt2
Theoretical powder XRD pattern, Cu Ka. Input: DFT lattice parameters and positions (PBE).

Structural model:
```
data_Pu3Ge2Pt2
_chemical_formula_sum 'Pu12 Ge8 Pt8'
_symmetry_space_group_name_H-M 'P b c m'
_symmetry_Int_Tables_number 57
_symmetry_space_group_name_Hall '-P 2c 2b'
_cell_length_a 5.6138
_cell_length_b 8.1370
_cell_length_c 13.1788
_cell_angle_alpha 90.00
_cell_angle_beta 90.00
_cell_angle_gamma 90.00
loop_
_atom_site_label
_atom_site_fract_x
_atom_site_fract_y
_atom_site_fract_z
Pu1 0.1358 0.1075 0.1025
Pu2 0.3583 0.7393 0.2500
Ge1 0.1327 0.1076 0.7500
Ge2 0.3133 0.7500 0.0000
Pt1 0.3846 0.0494 0.5925
```

Principal peaks in the range 15 to 90 degrees two-theta, most intense first:
39.68°, 2.271 Å, I = 100; 36.80°, 2.442 Å, I = 75; 34.02°, 2.636 Å, I = 73; 33.40°, 2.683 Å, I = 60; 35.05°, 2.560 Å, I = 45; 41.09°, 2.196 Å, I = 37; 34.48°, 2.601 Å, I = 37; 33.78°, 2.653 Å, I = 36; 56.32°, 1.634 Å, I = 32; 25.73°, 3.462 Å, I = 24

---

# PuGePt6
Theoretical powder XRD pattern, Cu Ka. Input: DFT lattice parameters and positions (PBE).

Structural model:
```
data_PuGePt6
_chemical_formula_sum 'Pu3 Ge3 Pt18'
_symmetry_space_group_name_H-M 'R -3 m'
_symmetry_Int_Tables_number 166
_symmetry_space_group_name_Hall '-R 3 2"'
_cell_length_a 5.3956
_cell_length_b 5.3956
_cell_length_c 19.9640
_cell_angle_alpha 90.00
_cell_angle_beta 90.00
_cell_angle_gamma 120.00
loop_
_atom_site_label
_atom_site_fract_x
_atom_site_fract_y
_atom_site_fract_z
Pu1 0.0000 0.0000 0.0000
Ge1 0.0000 0.0000 0.5000
Pt1 0.0063 0.5032 0.9287
```

Principal peaks in the range 15 to 90 degrees two-theta, most intense first:
38.81°, 2.321 Å, I = 100; 39.62°, 2.275 Å, I = 70; 43.17°, 2.096 Å, I = 45; 26.12°, 3.411 Å, I = 35; 50.50°, 1.807 Å, I = 32; 26.79°, 3.327 Å, I = 32; 69.71°, 1.349 Å, I = 27; 41.00°, 2.201 Å, I = 27; 36.92°, 2.434 Å, I = 24; 29.42°, 3.036 Å, I = 20

---

Q: Which formula does entry 3 have?
A: Pr2ZnGe2

---

What did the fourth record say?
# Pr3Zn3Ge2
Theoretical powder XRD pattern, Cu Ka. Input: DFT lattice parameters and positions (PBE).

Structural model:
```
data_Pr3Zn3Ge2
_chemical_formula_sum 'Pr12 Zn12 Ge8'
_symmetry_space_group_name_H-M 'C m c m'
_symmetry_Int_Tables_number 63
_symmetry_space_group_name_Hall '-C 2c 2'
_cell_length_a 4.2327
_cell_length_b 11.4266
_cell_length_c 15.8602
_cell_angle_alpha 90.00
_cell_angle_beta 90.00
_cell_angle_gamma 90.00
loop_
_atom_site_label
_atom_site_fract_x
_atom_site_fract_y
_atom_site_fract_z
Pr1 0.0000 0.0690 0.2500
Pr2 0.0000 0.3552 0.0909
Zn1 0.0000 0.0740 0.0539
Zn2 0.0000 0.2041 0.7500
Ge1 0.0000 0.3461 0.6167
```

Principal peaks in the range 15 to 90 degrees two-theta, most intense first:
31.89°, 2.806 Å, I = 100; 42.77°, 2.114 Å, I = 76; 31.60°, 2.831 Å, I = 51; 33.91°, 2.643 Å, I = 44; 32.11°, 2.787 Å, I = 41; 39.09°, 2.304 Å, I = 35; 28.11°, 3.174 Å, I = 27; 71.48°, 1.320 Å, I = 26; 60.82°, 1.523 Å, I = 26; 42.59°, 2.123 Å, I = 24